Diffraction record for GaTe2SeI. The X-ray powder pattern is computed, not measured: it uses a PBE-relaxed structure and Cu Kα, 1.54184 Å.
Peak positions follow from Bragg's law for the DFT cell and can differ from measured ones.

Cell and atoms:
a b c (Å): 5.566 5.566 5.771
angles (deg): 90.00 90.00 90.00
Space group P4/mmm (No. 123)
Inequivalent atoms, fractional coordinates:
Ga 0.000 0.000 0.000 x1
Te 0.000 0.500 0.500 x2
Se 0.500 0.500 0.500 x1
I 0.500 0.500 0.000 x1

Top 8 peaks for 10 to 90 degrees two-theta, low angle first:
two_theta  d_spacing  I_rel  (hkl)
15.92  5.566  24  1 0 0
27.43  3.252  100  1 1 1
30.99  2.885  37  0 0 2
32.16  2.783  68  2 0 0
45.27  2.003  52  2 0 2
46.12  1.968  25  2 2 0
54.50  1.684  29  3 1 1
56.61  1.626  27  2 2 2

---

Diffraction record for SmGa3I6. The X-ray powder pattern is computed, not measured: it uses a PBE-relaxed structure and Cu Kα, 1.54184 Å.
Peak positions follow from Bragg's law for the DFT cell and can differ from measured ones.

Cell and atoms:
a b c (Å): 7.885 8.721 14.293
angles (deg): 90.00 123.22 90.00
Space group P2_1/c (No. 14)
Inequivalent atoms, fractional coordinates:
Sm 0.000 0.000 0.000 x2
Ga 0.177 0.144 0.752 x4
Ga 0.500 0.000 0.500 x2
I 0.093 0.195 0.426 x4
I 0.243 0.678 0.425 x4
I 0.383 0.049 0.239 x4

Top 8 peaks for 10 to 90 degrees two-theta, low angle first:
two_theta  d_spacing  I_rel  (hkl)
24.49  3.635  68  1 2 -2
25.02  3.559  100  1 0 2
25.90  3.440  82  2 1 -3
27.07  3.294  65  1 1 2
27.74  3.216  64  1 2 -3
32.84  2.728  64  1 3 -1
33.67  2.662  43  1 1 3
34.14  2.626  47  2 2 -4

---

Copy entry 1 word for word.
Diffraction record for GaTe2SeI. The X-ray powder pattern is computed, not measured: it uses a PBE-relaxed structure and Cu Kα, 1.54184 Å.
Peak positions follow from Bragg's law for the DFT cell and can differ from measured ones.

Cell and atoms:
a b c (Å): 5.566 5.566 5.771
angles (deg): 90.00 90.00 90.00
Space group P4/mmm (No. 123)
Inequivalent atoms, fractional coordinates:
Ga 0.000 0.000 0.000 x1
Te 0.000 0.500 0.500 x2
Se 0.500 0.500 0.500 x1
I 0.500 0.500 0.000 x1

Top 8 peaks for 10 to 90 degrees two-theta, low angle first:
two_theta  d_spacing  I_rel  (hkl)
15.92  5.566  24  1 0 0
27.43  3.252  100  1 1 1
30.99  2.885  37  0 0 2
32.16  2.783  68  2 0 0
45.27  2.003  52  2 0 2
46.12  1.968  25  2 2 0
54.50  1.684  29  3 1 1
56.61  1.626  27  2 2 2

---

Repeat the second record exactly.
Diffraction record for SmGa3I6. The X-ray powder pattern is computed, not measured: it uses a PBE-relaxed structure and Cu Kα, 1.54184 Å.
Peak positions follow from Bragg's law for the DFT cell and can differ from measured ones.

Cell and atoms:
a b c (Å): 7.885 8.721 14.293
angles (deg): 90.00 123.22 90.00
Space group P2_1/c (No. 14)
Inequivalent atoms, fractional coordinates:
Sm 0.000 0.000 0.000 x2
Ga 0.177 0.144 0.752 x4
Ga 0.500 0.000 0.500 x2
I 0.093 0.195 0.426 x4
I 0.243 0.678 0.425 x4
I 0.383 0.049 0.239 x4

Top 8 peaks for 10 to 90 degrees two-theta, low angle first:
two_theta  d_spacing  I_rel  (hkl)
24.49  3.635  68  1 2 -2
25.02  3.559  100  1 0 2
25.90  3.440  82  2 1 -3
27.07  3.294  65  1 1 2
27.74  3.216  64  1 2 -3
32.84  2.728  64  1 3 -1
33.67  2.662  43  1 1 3
34.14  2.626  47  2 2 -4